1.
Theoretical powder X-ray diffraction pattern
Compound: CaLaH8Pt2
Radiation: Cu Kα X-rays
Structure: a structure optimized by DFT (PBE)
Lines closer than 0.1° are merged.

Cell and atoms:
a b c (Å): 5.0570 5.0570 18.2981
angles (deg): 90.00 90.00 120.00
Space group R-3 (No. 148, hexagonal axes)
One atom of each set of equivalent atoms:
Ca 0.0000 0.0000 0.0000 [3 per cell]
La 0.0000 0.0000 0.5000 [3 per cell]
H 0.0000 0.0000 0.1722 [6 per cell]
H 0.0380 0.4451 0.0595 [18 per cell]
Pt 0.0000 0.0000 0.2603 [6 per cell]

Main lines, by angle (2θ = 10–90°):
hkl, two_theta, Rel. int.
0 1 2, 22.51, 23
1 0 4, 28.21, 100
0 1 5, 31.87, 11
1 1 0, 35.50, 58
0 1 8, 44.70, 25
0 2 4, 45.95, 27
2 0 8, 58.34, 11
2 1 4, 59.38, 26
3 -2 8, 70.20, 17
4 -3 4, 82.10, 11

=====

2.
Theoretical powder X-ray diffraction pattern
Compound: Ca4La2Sn3H2
Radiation: Cu Kα X-rays
Structure: a structure optimized by DFT (PBE)
Lines closer than 0.1° are merged.

Cell and atoms:
a b c (Å): 4.8134 4.8134 25.9285
angles (deg): 90.00 90.00 90.00
Space group I4/mmm (No. 139)
One atom of each set of equivalent atoms:
Ca 0.0000 0.5000 0.0796 [8 per cell]
La 0.0000 0.0000 0.1969 [4 per cell]
Sn 0.0000 0.0000 0.3266 [4 per cell]
Sn 0.0000 0.0000 0.5000 [2 per cell]
H 0.0000 0.0000 0.0997 [4 per cell]

Main lines, by angle (2θ = 10–90°):
hkl, two_theta, Rel. int.
1 0 1, 18.75, 20
1 1 0, 26.18, 51
1 1 2, 27.09, 45
0 0 8, 27.52, 18
1 0 7, 30.45, 45
1 1 6, 33.51, 100
2 0 0, 37.36, 60
2 1 7, 48.94, 24
2 2 0, 53.87, 21
3 1 6, 64.96, 29

=====

3.
Theoretical powder X-ray diffraction pattern
Compound: Li2CaH4
Radiation: Cu Kα X-rays
Structure: a structure optimized by DFT (PBE)
Lines closer than 0.1° are merged.

Cell and atoms:
a b c (Å): 6.6631 6.6631 6.5154
angles (deg): 90.00 90.00 90.00
Space group I4_1/amd (No. 141, origin choice 2)
One atom of each set of equivalent atoms:
Li 0.0000 0.0000 0.0000 [8 per cell]
Ca 0.0000 0.2500 0.3750 [4 per cell]
H 0.0000 0.0745 0.7029 [16 per cell]

Main lines, by angle (2θ = 10–90°):
hkl, two_theta, Rel. int.
1 0 1, 19.05, 100
2 0 0, 26.76, 69
2 1 1, 33.06, 89
1 1 2, 33.44, 65
3 0 1, 43.03, 14
1 0 3, 43.84, 24
3 2 1, 51.39, 28
3 1 2, 51.66, 37
2 1 3, 52.11, 11
4 0 0, 55.14, 12

=====

4.
Theoretical powder X-ray diffraction pattern
Compound: Li2CaH6
Radiation: Cu Kα X-rays
Structure: a structure optimized by DFT (PBE)
Lines closer than 0.1° are merged.

Cell and atoms:
a b c (Å): 7.0462 7.0462 7.0462
angles (deg): 90.00 90.00 90.00
Space group Fm-3m (No. 225)
One atom of each set of equivalent atoms:
Li 0.2500 0.2500 0.2500 [8 per cell]
Ca 0.0000 0.0000 0.0000 [4 per cell]
H 0.0000 0.0000 0.3101 [24 per cell]

Main lines, by angle (2θ = 10–90°):
hkl, two_theta, Rel. int.
1 1 1, 21.85, 100
2 0 0, 25.28, 47
2 2 0, 36.05, 69
3 1 1, 42.55, 58
4 0 0, 51.91, 14
3 3 1, 56.97, 25
4 2 0, 58.59, 11
4 2 2, 64.82, 21
3 3 3, 69.29, 15
5 3 1, 80.67, 14

=====

5.
Theoretical powder X-ray diffraction pattern
Compound: LiCaH2
Radiation: Cu Kα X-rays
Structure: a structure optimized by DFT (PBE)
Lines closer than 0.1° are merged.

Cell and atoms:
a b c (Å): 8.0842 4.0542 7.0890
angles (deg): 90.00 90.00 90.00
Space group Pnma (No. 62)
One atom of each set of equivalent atoms:
Li 0.0315 0.2500 0.1190 [4 per cell]
Ca 0.1480 0.2500 0.6233 [4 per cell]
H 0.0270 0.7500 0.6293 [4 per cell]
H 0.0510 0.7500 0.1277 [4 per cell]

Main lines, by angle (2θ = 10–90°):
hkl, two_theta, Rel. int.
1 0 1, 16.63, 42
2 0 1, 25.34, 100
1 0 2, 27.48, 74
1 1 1, 27.64, 64
2 1 0, 31.25, 68
1 1 2, 35.42, 43
3 0 1, 35.64, 27
2 0 3, 44.39, 21
3 1 2, 47.99, 34
4 1 1, 52.15, 25

=====

6.
Theoretical powder X-ray diffraction pattern
Compound: LiCaP3H8O13
Radiation: Cu Kα X-rays
Structure: a structure optimized by DFT (PBE)
Lines closer than 0.1° are merged.

Cell and atoms:
a b c (Å): 7.3272 7.7730 10.2675
angles (deg): 85.78 74.53 77.72
Space group P-1 (No. 2)
One atom of each set of equivalent atoms:
Li 0.0000 0.0000 0.0000 [1 per cell]
Li 0.0000 0.5000 0.5000 [1 per cell]
Ca 0.1802 0.1886 0.2373 [2 per cell]
P 0.2470 0.8019 0.4824 [2 per cell]
P 0.3269 0.8049 0.7451 [2 per cell]
P 0.4100 0.5403 0.2716 [2 per cell]
H 0.0716 0.2765 0.7946 [2 per cell]
H 0.0881 0.6216 0.0865 [2 per cell]
H 0.1519 0.3409 0.9775 [2 per cell]
H 0.1870 0.1869 0.5669 [2 per cell]
H 0.3060 0.3107 0.6040 [2 per cell]
H 0.3086 0.8531 0.0955 [2 per cell]
H 0.3523 0.3807 0.9831 [2 per cell]
H 0.3594 0.9676 0.9651 [2 per cell]
O 0.0189 0.2743 0.8941 [2 per cell]
O 0.0892 0.7095 0.5597 [2 per cell]
O 0.1158 0.8556 0.8145 [2 per cell]
O 0.1737 0.2941 0.6156 [2 per cell]
O 0.2032 0.9587 0.3950 [2 per cell]
O 0.2198 0.3808 0.0402 [2 per cell]
O 0.2461 0.4447 0.3250 [2 per cell]
O 0.2710 0.9727 0.0568 [2 per cell]
O 0.3613 0.8547 0.5842 [2 per cell]
O 0.3820 0.5912 0.7450 [2 per cell]
O 0.4204 0.6497 0.1446 [2 per cell]
O 0.4242 0.6569 0.3939 [2 per cell]
O 0.4704 0.8777 0.7936 [2 per cell]

Main lines, by angle (2θ = 10–90°):
hkl, two_theta, Rel. int.
0 1 1, 14.58, 63
0 1 -1, 14.83, 73
1 1 0, 15.50, 100
1 1 -1, 19.64, 73
0 2 -1, 25.27, 83
2 1 0, 26.08, 97
2 1 2, 27.55, 59
1 2 2, 28.04, 45
0 1 -3, 29.73, 78
2 2 3, 36.64, 43

=====

7.
Theoretical powder X-ray diffraction pattern
Compound: LiCa2H6Os
Radiation: Cu Kα X-rays
Structure: a structure optimized by DFT (PBE)
Lines closer than 0.1° are merged.

Cell and atoms:
a b c (Å): 5.0745 5.0745 5.0764
angles (deg): 90.00 90.00 120.00
Space group P-3m1 (No. 164)
One atom of each set of equivalent atoms:
Li 0.0000 0.0000 0.0000 [1 per cell]
Ca 0.3333 0.6667 0.6978 [2 per cell]
H 0.1590 0.3179 0.2922 [6 per cell]
Os 0.0000 0.0000 0.5000 [1 per cell]

Main lines, by angle (2θ = 10–90°):
hkl, two_theta, Rel. int.
0 0 1, 17.47, 64
1 0 0, 20.21, 68
0 1 1, 26.83, 100
1 1 0, 35.38, 59
1 1 1, 39.71, 47
0 1 2, 41.07, 62
2 0 1, 44.95, 26
2 0 2, 55.30, 32
1 0 3, 58.45, 40
1 2 2, 67.38, 24

=====

8.
Theoretical powder X-ray diffraction pattern
Compound: LiCa3H6Pt2
Radiation: Cu Kα X-rays
Structure: a structure optimized by DFT (PBE)
Lines closer than 0.1° are merged.

Cell and atoms:
a b c (Å): 5.3284 5.3284 6.3507
angles (deg): 90.00 90.00 120.00
Space group P-3m1 (No. 164)
One atom of each set of equivalent atoms:
Li 0.0000 0.0000 0.0000 [1 per cell]
Ca 0.0000 0.0000 0.5000 [1 per cell]
Ca 0.3333 0.6667 0.1996 [2 per cell]
H 0.1530 0.3061 0.7908 [6 per cell]
Pt 0.3333 0.6667 0.7291 [2 per cell]

Main lines, by angle (2θ = 10–90°):
hkl, two_theta, Rel. int.
1 0 0, 19.23, 41
0 1 1, 23.84, 100
0 0 2, 28.10, 26
1 1 0, 33.64, 81
0 1 2, 34.28, 51
2 0 1, 41.65, 23
1 1 2, 44.39, 44
2 0 2, 48.79, 19
1 2 1, 54.56, 23
1 2 2, 60.57, 19

=====

9.
Theoretical powder X-ray diffraction pattern
Compound: LiCa3H8Rh2
Radiation: Cu Kα X-rays
Structure: a structure optimized by DFT (PBE)
Lines closer than 0.1° are merged.

Cell and atoms:
a b c (Å): 5.1014 5.1014 6.9282
angles (deg): 90.00 90.00 120.00
Space group P-3m1 (No. 164)
One atom of each set of equivalent atoms:
Li 0.0000 0.0000 0.0000 [1 per cell]
Ca 0.0000 0.0000 0.5000 [1 per cell]
Ca 0.3333 0.6667 0.1555 [2 per cell]
H 0.1671 0.3342 0.8306 [6 per cell]
H 0.3333 0.6667 0.4646 [2 per cell]
Rh 0.3333 0.6667 0.7026 [2 per cell]

Main lines, by angle (2θ = 10–90°):
hkl, two_theta, Rel. int.
1 0 0, 20.10, 35
0 1 1, 23.89, 64
0 0 2, 25.72, 16
0 1 2, 32.85, 100
1 1 0, 35.18, 97
1 1 2, 44.09, 21
1 0 3, 44.26, 20
2 0 2, 48.90, 33
1 0 4, 57.12, 19
1 2 2, 61.66, 30

=====

10.
Theoretical powder X-ray diffraction pattern
Compound: Li2Ca2Sb2H
Radiation: Cu Kα X-rays
Structure: a structure optimized by DFT (PBE)
Lines closer than 0.1° are merged.

Cell and atoms:
a b c (Å): 4.4731 4.4731 15.3099
angles (deg): 90.00 90.00 90.00
Space group I4/mmm (No. 139)
One atom of each set of equivalent atoms:
Li 0.0000 0.5000 0.0000 [4 per cell]
Ca 0.0000 0.0000 0.1586 [4 per cell]
Sb 0.0000 0.0000 0.3741 [4 per cell]
H 0.0000 0.0000 0.0000 [2 per cell]

Main lines, by angle (2θ = 10–90°):
hkl, two_theta, Rel. int.
1 0 1, 20.69, 61
0 0 4, 23.24, 66
1 1 0, 28.21, 100
1 0 5, 35.53, 38
1 1 4, 36.87, 90
2 0 0, 40.33, 42
2 1 1, 45.73, 19
2 0 4, 47.06, 38
2 1 5, 54.82, 21
3 1 4, 71.05, 25

=====

11.
Theoretical powder X-ray diffraction pattern
Compound: Li5Ca2Sb3H2
Radiation: Cu Kα X-rays
Structure: a structure optimized by DFT (PBE)
Lines closer than 0.1° are merged.

Cell and atoms:
a b c (Å): 4.5980 4.5980 21.4612
angles (deg): 90.00 90.00 90.00
Space group I4/mmm (No. 139)
One atom of each set of equivalent atoms:
Li 0.0000 0.0000 0.0000 [2 per cell]
Li 0.0000 0.5000 0.0796 [8 per cell]
Ca 0.0000 0.0000 0.1892 [4 per cell]
Sb 0.0000 0.0000 0.3394 [4 per cell]
Sb 0.0000 0.0000 0.5000 [2 per cell]
H 0.0000 0.0000 0.0846 [4 per cell]

Main lines, by angle (2θ = 10–90°):
hkl, two_theta, Rel. int.
1 0 1, 19.75, 100
0 0 6, 24.89, 51
1 1 0, 27.43, 98
1 0 7, 35.18, 57
1 1 6, 37.38, 85
2 0 0, 39.18, 45
2 1 1, 44.25, 25
2 0 6, 46.98, 36
2 1 7, 53.67, 33
3 1 6, 69.83, 26

=====

12.
Theoretical powder X-ray diffraction pattern
Compound: LiCaTeH
Radiation: Cu Kα X-rays
Structure: a structure optimized by DFT (PBE)
Lines closer than 0.1° are merged.

Cell and atoms:
a b c (Å): 4.4013 4.4013 4.5913
angles (deg): 90.00 90.00 120.00
Space group P3m1 (No. 156)
One atom of each set of equivalent atoms:
Li 0.0000 0.0000 0.0000 [1 per cell]
Ca 0.6667 0.3333 0.4342 [1 per cell]
Te 0.3333 0.6667 0.8998 [1 per cell]
H 0.0000 0.0000 0.3992 [1 per cell]

Main lines, by angle (2θ = 10–90°):
hkl, two_theta, Rel. int.
0 0 1, 19.33, 16
1 0 0, 23.34, 48
1 0 1, 30.48, 100
0 0 2, 39.24, 10
1 1 0, 41.01, 29
1 1 1, 45.72, 11
0 1 2, 46.16, 17
0 2 1, 51.95, 22
1 1 2, 58.06, 19
2 1 1, 68.23, 19